[1]
The following is a computed powder XRD pattern of Tb3HoAl4. It was derived from a crystal structure in Alexandria, relaxed with PBE, using Cu Kα (weighted mean of Kα1 and Kα2).
No peak broadening, texture or thermal motion is included.

Most intense lines, 10° ≤ 2θ ≤ 80°, in order of rising 2θ:
2θ (°)	Rel. int.
24.69	62
35.20	100
43.47	19
50.64	18
57.13	25
63.17	37

Structural model:
```
Tb3HoAl4
1.0
3.606 0.000 0.000
0.000 3.606 0.000
0.000 0.000 14.420
Tb Ho Al
3 1 4
Direct
0.000 0.000 0.000
0.000 0.000 0.251
0.000 0.000 0.749
0.000 0.000 0.500
0.500 0.500 0.126
0.500 0.500 0.378
0.500 0.500 0.622
0.500 0.500 0.874
```


[2]
The following is a computed powder XRD pattern of Tb3Ho2Al2. It was derived from a crystal structure in Alexandria, relaxed with PBE, using Cu Kα (weighted mean of Kα1 and Kα2).
No peak broadening, texture or thermal motion is included.

Most intense lines, 10° ≤ 2θ ≤ 80°, in order of rising 2θ:
2θ (°)	Rel. int.
27.28	43
33.19	91
34.05	100
48.28	32
58.87	22
60.39	33

Structural model:
```
Tb3Ho2Al2
1.0
2.633 1.520 7.813
-2.633 1.520 7.813
0.000 -3.041 7.813
Tb Ho Al
3 2 2
Direct
0.000 0.000 0.000
0.154 0.154 0.154
0.846 0.846 0.846
0.418 0.418 0.418
0.582 0.582 0.582
0.283 0.283 0.283
0.717 0.717 0.717
```


[3]
The following is a computed powder XRD pattern of Tb3HoAl2. It was derived from a crystal structure in Alexandria, relaxed with PBE, using Cu Kα (weighted mean of Kα1 and Kα2).
No peak broadening, texture or thermal motion is included.

Most intense lines, 10° ≤ 2θ ≤ 80°, in order of rising 2θ:
2θ (°)	Rel. int.
23.98	37
29.05	31
32.44	26
33.26	100
33.82	66
35.11	40

Structural model:
```
Tb3HoAl2
1.0
5.112 0.000 0.000
0.000 9.497 0.000
0.000 0.000 6.559
Tb Ho Al
6 2 4
Direct
0.000 0.041 0.000
0.000 0.325 0.339
0.000 0.675 0.839
0.000 0.959 0.500
0.500 0.177 0.715
0.500 0.823 0.215
0.500 0.458 0.054
0.500 0.542 0.554
0.000 0.353 0.821
0.000 0.647 0.321
0.500 0.148 0.234
0.500 0.852 0.734
```


[4]
The following is a computed powder XRD pattern of Tb3Ho2Al3. It was derived from a crystal structure in Alexandria, relaxed with PBE, using Cu Kα (weighted mean of Kα1 and Kα2).
No peak broadening, texture or thermal motion is included.

Most intense lines, 10° ≤ 2θ ≤ 80°, in order of rising 2θ:
2θ (°)	Rel. int.
24.59	21
26.92	36
33.21	20
34.26	100
34.73	27
61.97	28

Structural model:
```
Tb3Ho2Al3
1.0
-1.836 2.583 10.791
1.836 -2.583 10.791
1.836 2.583 -10.791
Tb Ho Al
3 2 3
Direct
0.000 0.000 0.000
0.380 0.880 0.500
0.620 0.120 0.500
0.230 0.230 0.000
0.770 0.770 0.000
0.117 0.617 0.500
0.500 0.500 0.000
0.883 0.383 0.500
```


[5]
The following is a computed powder XRD pattern of Tb2Ho2Al3. It was derived from a crystal structure in Alexandria, relaxed with PBE, using Cu Kα (weighted mean of Kα1 and Kα2).
No peak broadening, texture or thermal motion is included.

Most intense lines, 10° ≤ 2θ ≤ 80°, in order of rising 2θ:
2θ (°)	Rel. int.
25.15	41
25.27	70
33.65	40
35.96	100
42.47	24
64.40	19

Structural model:
```
Tb2Ho2Al3
1.0
1.775 -14.105 0.000
1.775 14.105 0.000
0.000 0.000 3.540
Tb Ho Al
2 2 3
Direct
0.193 0.807 0.000
0.807 0.193 0.000
0.064 0.936 0.000
0.936 0.064 0.000
0.371 0.629 0.500
0.500 0.500 0.500
0.629 0.371 0.500
```


[6]
The following is a computed powder XRD pattern of Ho4Al12Tc. It was derived from a crystal structure in Alexandria, relaxed with PBE, using Cu Kα (weighted mean of Kα1 and Kα2).
No peak broadening, texture or thermal motion is included.

Most intense lines, 10° ≤ 2θ ≤ 80°, in order of rising 2θ:
2θ (°)	Rel. int.
20.53	51
29.20	100
35.96	66
41.77	49
51.77	39
60.55	31

Structural model:
```
Ho4Al12Tc
1.0
-4.325 4.325 4.325
4.325 -4.325 4.325
4.325 4.325 -4.325
Ho Al Tc
4 12 1
Direct
0.000 0.000 0.500
0.000 0.500 0.000
0.500 0.000 0.000
0.500 0.500 0.500
0.000 0.288 0.288
0.000 0.712 0.712
0.250 0.500 0.750
0.250 0.750 0.500
0.288 0.000 0.288
0.288 0.288 0.000
0.500 0.250 0.750
0.500 0.750 0.250
0.712 0.000 0.712
0.712 0.712 0.000
0.750 0.250 0.500
0.750 0.500 0.250
0.000 0.000 0.000
```


[7]
The following is a computed powder XRD pattern of Ho6AlTe5. It was derived from a crystal structure in Alexandria, relaxed with PBE, using Cu Kα (weighted mean of Kα1 and Kα2).
No peak broadening, texture or thermal motion is included.

Most intense lines, 10° ≤ 2θ ≤ 80°, in order of rising 2θ:
2θ (°)	Rel. int.
29.11	100
41.58	37
41.70	37
51.66	19
68.29	15
68.44	10

Structural model:
```
Ho6AlTe5
1.0
3.767 -6.490 0.000
3.767 6.490 0.000
-2.500 0.000 7.083
Ho Al Te
6 1 5
Direct
0.077 0.390 0.735
0.229 0.229 0.260
0.390 0.077 0.735
0.610 0.923 0.265
0.771 0.771 0.740
0.923 0.610 0.265
0.000 0.000 0.500
0.175 0.825 0.000
0.336 0.664 0.500
0.500 0.500 0.000
0.664 0.336 0.500
0.825 0.175 0.000
```


[8]
The following is a computed powder XRD pattern of Ho3ThAl4. It was derived from a crystal structure in Alexandria, relaxed with PBE, using Cu Kα (weighted mean of Kα1 and Kα2).
No peak broadening, texture or thermal motion is included.

Most intense lines, 10° ≤ 2θ ≤ 80°, in order of rising 2θ:
2θ (°)	Rel. int.
24.28	34
24.67	65
34.89	100
35.17	49
43.20	30
62.93	37

Structural model:
```
Ho3ThAl4
1.0
10.206 0.000 0.000
0.000 7.331 0.000
0.000 0.000 5.103
Ho Th Al
6 2 8
Direct
0.000 0.000 0.000
0.250 0.000 0.499
0.250 0.500 0.499
0.500 0.000 0.000
0.750 0.000 0.501
0.750 0.500 0.501
0.000 0.500 0.000
0.500 0.500 0.000
0.000 0.239 0.500
0.000 0.761 0.500
0.250 0.239 0.999
0.250 0.761 0.999
0.500 0.239 0.500
0.500 0.761 0.500
0.750 0.239 0.001
0.750 0.761 0.001
```


[9]
The following is a computed powder XRD pattern of HoThAl2Zn2. It was derived from a crystal structure in Alexandria, relaxed with PBE, using Cu Kα (weighted mean of Kα1 and Kα2).
No peak broadening, texture or thermal motion is included.

Most intense lines, 10° ≤ 2θ ≤ 80°, in order of rising 2θ:
2θ (°)	Rel. int.
22.91	45
33.46	100
40.24	44
53.31	27
65.43	19
68.85	25

Structural model:
```
HoThAl2Zn2
1.0
4.482 0.000 0.000
-2.241 3.881 0.000
0.000 0.000 7.398
Ho Th Al Zn
1 1 2 2
Direct
0.000 0.000 0.000
0.000 0.000 0.500
0.333 0.667 0.234
0.667 0.333 0.766
0.333 0.667 0.774
0.667 0.333 0.226
```


[10]
The following is a computed powder XRD pattern of HoTiAl3. It was derived from a crystal structure in Alexandria, relaxed with PBE, using Cu Kα (weighted mean of Kα1 and Kα2).
No peak broadening, texture or thermal motion is included.

Most intense lines, 10° ≤ 2θ ≤ 80°, in order of rising 2θ:
2θ (°)	Rel. int.
14.28	56
23.04	61
30.86	100
31.14	42
34.41	100
42.70	48

Structural model:
```
HoTiAl3
1.0
-2.031 2.031 6.203
2.031 -2.031 6.203
2.031 2.031 -6.203
Ho Ti Al
1 1 3
Direct
0.000 0.000 0.000
0.634 0.634 0.000
0.278 0.778 0.500
0.425 0.425 0.000
0.778 0.278 0.500
```


[11]
The following is a computed powder XRD pattern of Ho4AlTl2. It was derived from a crystal structure in Alexandria, relaxed with PBE, using Cu Kα (weighted mean of Kα1 and Kα2).
No peak broadening, texture or thermal motion is included.

Most intense lines, 10° ≤ 2θ ≤ 80°, in order of rising 2θ:
2θ (°)	Rel. int.
31.95	100
32.73	90
33.02	66
33.82	71
34.70	36
34.81	59

Structural model:
```
Ho4AlTl2
1.0
5.440 0.000 0.000
0.000 6.588 0.000
-1.973 0.000 10.646
Ho Al Tl
8 2 4
Direct
0.126 0.250 0.123
0.234 0.750 0.440
0.331 0.010 0.733
0.331 0.490 0.733
0.669 0.510 0.267
0.669 0.990 0.267
0.766 0.250 0.560
0.874 0.750 0.877
0.102 0.750 0.171
0.898 0.250 0.829
0.218 0.250 0.422
0.427 0.750 0.006
0.573 0.250 0.994
0.782 0.750 0.578
```


[12]
The following is a computed powder XRD pattern of Ho12Al2Tl5. It was derived from a crystal structure in Alexandria, relaxed with PBE, using Cu Kα (weighted mean of Kα1 and Kα2).
No peak broadening, texture or thermal motion is included.

Most intense lines, 10° ≤ 2θ ≤ 80°, in order of rising 2θ:
2θ (°)	Rel. int.
30.69	37
31.55	31
32.07	95
32.83	100
32.99	33
34.35	41

Structural model:
```
Ho12Al2Tl5
1.0
8.575 -3.557 0.000
8.575 3.557 0.000
-1.146 0.000 9.001
Ho Al Tl
12 2 5
Direct
0.006 0.006 0.194
0.095 0.602 0.987
0.099 0.587 0.572
0.398 0.905 0.013
0.413 0.901 0.428
0.465 0.465 0.312
0.535 0.535 0.688
0.587 0.099 0.572
0.602 0.095 0.987
0.901 0.413 0.428
0.905 0.398 0.013
0.994 0.994 0.806
0.174 0.826 0.500
0.826 0.174 0.500
0.198 0.198 0.735
0.273 0.273 0.252
0.500 0.500 0.000
0.727 0.727 0.748
0.802 0.802 0.265
```


[13]
The following is a computed powder XRD pattern of Ho4Al3Tl. It was derived from a crystal structure in Alexandria, relaxed with PBE, using Cu Kα (weighted mean of Kα1 and Kα2).
No peak broadening, texture or thermal motion is included.

Most intense lines, 10° ≤ 2θ ≤ 80°, in order of rising 2θ:
2θ (°)	Rel. int.
25.35	30
31.29	100
32.46	48
37.19	31
38.45	27
53.05	32

Structural model:
```
Ho4Al3Tl
1.0
3.957 0.000 0.000
0.000 4.429 0.000
0.000 0.000 11.542
Ho Al Tl
4 3 1
Direct
0.000 0.000 0.000
0.000 0.500 0.293
0.500 0.000 0.487
0.500 0.500 0.798
0.000 0.500 0.565
0.500 0.000 0.212
0.500 0.500 0.074
0.000 0.000 0.719
```


[14]
The following is a computed powder XRD pattern of Ho5Tm4Al. It was derived from a crystal structure in Alexandria, relaxed with PBE, using Cu Kα (weighted mean of Kα1 and Kα2).
No peak broadening, texture or thermal motion is included.

Most intense lines, 10° ≤ 2θ ≤ 80°, in order of rising 2θ:
2θ (°)	Rel. int.
29.61	13
31.73	100
36.32	40
52.30	14
53.38	15
62.48	29

Structural model:
```
Ho5Tm4Al
1.0
3.498 0.000 0.000
0.000 3.498 0.000
0.000 0.000 23.834
Ho Tm Al
5 4 1
Direct
0.000 0.000 0.000
0.000 0.000 0.209
0.000 0.000 0.420
0.000 0.000 0.580
0.000 0.000 0.791
0.500 0.500 0.104
0.500 0.500 0.313
0.500 0.500 0.687
0.500 0.500 0.896
0.500 0.500 0.500
```